1.
Structure and computed X-ray powder pattern of HfMg6Cr (a crystal structure in the Materials Project, relaxed with PBE; Cu Kα (λ = 1.5418 Å)).
Intensities are scaled so that the largest is 100.

```
data_HfMg6Cr
_chemical_formula_sum 'Hf2 Mg12 Cr2'
_cell_length_a 5.039
_cell_length_b 6.179
_cell_length_c 10.982
_cell_angle_alpha 90.00
_cell_angle_beta 90.00
_cell_angle_gamma 90.00
_symmetry_space_group_name_H-M 'A m m 2'
_symmetry_Int_Tables_number 38
_symmetry_space_group_name_Hall 'A 2 -2'
loop_
_atom_site_label
_atom_site_fract_x
_atom_site_fract_y
_atom_site_fract_z
Hf1 0.000 0.000 0.000
Mg1 0.000 0.247 0.250
Mg2 0.500 0.000 0.162
Mg3 0.500 0.000 0.659
Mg4 0.500 0.247 0.419
Cr1 0.000 0.000 0.497
```

Peak list (10 most intense, 2θ from 10° to 80°, by angle)
two_theta  I (rel.)  hkl
16.1  58  0 0 2
16.5  46  0 1 1
17.6  45  1 0 0
24.0  42  1 0 2
24.2  40  1 1 1
33.3  37  0 2 2
35.6  37  2 0 0
37.3  53  1 0 4
37.9  100  1 2 2
65.5  24  3 2 2

2.
Structure and computed X-ray powder pattern of GaB2P2O12 (a crystal structure in the Materials Project, relaxed with PBE; Cu Kα (λ = 1.5418 Å)).
Intensities are scaled so that the largest is 100.

```
data_GaB2P2O12
_chemical_formula_sum 'Ga4 B8 P8 O48'
_cell_length_a 17.370
_cell_length_b 6.972
_cell_length_c 7.054
_cell_angle_alpha 90.00
_cell_angle_beta 110.08
_cell_angle_gamma 90.00
_symmetry_space_group_name_H-M 'C 1 2/c 1'
_symmetry_Int_Tables_number 15
_symmetry_space_group_name_Hall '-C 2yc'
loop_
_atom_site_label
_atom_site_fract_x
_atom_site_fract_y
_atom_site_fract_z
Ga1 0.250 0.250 0.000
B1 0.095 0.223 0.602
P1 0.150 0.125 0.292
O1 0.023 0.335 0.606
O2 0.087 0.018 0.648
O3 0.103 0.246 0.402
O4 0.154 0.328 0.758
O5 0.176 0.267 0.158
O6 0.222 0.021 0.446
```

Peak list (10 most intense, 2θ from 10° to 80°, by angle)
two_theta  I (rel.)  hkl
10.8  100  2 0 0
13.8  21  1 1 0
20.5  15  1 1 1
20.7  21  3 1 0
21.4  22  3 1 -1
25.6  26  0 2 0
27.7  95  3 1 1
28.3  55  4 0 -2
29.0  28  0 2 1
42.7  12  3 3 -1

3.
Structure and computed X-ray powder pattern of CaGeS3O12 (a crystal structure in the Materials Project, relaxed with PBE; Cu Kα (λ = 1.5418 Å)).
Intensities are scaled so that the largest is 100.

```
data_CaGeS3O12
_chemical_formula_sum 'Ca6 Ge6 S18 O72'
_cell_length_a 8.8737
_cell_length_b 8.8737
_cell_length_c 21.4863
_cell_angle_alpha 90.00
_cell_angle_beta 90.00
_cell_angle_gamma 120.00
_symmetry_space_group_name_H-M 'R 3 c'
_symmetry_Int_Tables_number 161
_symmetry_space_group_name_Hall 'R 3 -2"c'
loop_
_atom_site_label
_atom_site_fract_x
_atom_site_fract_y
_atom_site_fract_z
Ca1 0.0000 0.0000 0.0000
Ge1 0.0000 0.0000 0.2748
S1 0.0287 0.4084 0.0445
O1 0.0130 0.1982 0.4321
O2 0.0778 0.2200 0.3204
O3 0.1005 0.4237 0.6996
O4 0.1929 0.0785 0.7165
```

Peak list (10 most intense, 2θ from 10° to 80°, by angle)
two_theta  I (rel.)  hkl
14.2  81  0 1 2
20.0  19  1 1 0
20.2  52  1 0 4
23.6  100  1 1 3
28.6  60  0 2 4
32.1  32  1 1 6
35.1  28  3 0 0
45.8  16  1 3 4
46.0  16  1 2 8
54.8  24  4 1 0